Dy3Si2Os2: simulated powder diffractogram (Cu Kα (weighted mean of Kα1 and Kα2)), based on a cell relaxed with PBE.
Lines closer than 0.1° are merged.

Principal peaks in the range 2θ = 5–70°, by angle:
| d_spacing | I_rel |
| --- | --- |
| 3.303 | 29 |
| 2.695 | 31 |
| 2.580 | 37 |
| 2.572 | 27 |
| 2.515 | 39 |
| 2.305 | 39 |
| 2.268 | 100 |
| 2.241 | 35 |

Cell and atoms:
Unit cell a=5.605 b=7.584 c=13.446 alpha=90.00 beta=90.00 gamma=90.00
Space group Pbcm (No. 57)
Inequivalent atoms, fractional coordinates:
Dy (0.124, 0.249, 0.250)
Dy (0.357, 0.604, 0.102)
Si (0.097, 0.250, 0.000)
Si (0.361, 0.598, 0.750)
Os (0.148, 0.527, 0.591)